Starting from a crystal structure in Alexandria, relaxed with PBE+U, the powder diffractogram of BaNi2P2O8 was computed for copper Kα.
Kinematic intensities with the Lorentz-polarization factor, no thermal factor.

Cell and atoms:
Lattice parameters (Å, degrees): 4.8503 4.8503 23.7725 90.00 90.00 120.00
Space group R-3 (No. 148, hexagonal axes)
Symmetry-distinct sites (fractional):
Ba1 0.0000 0.0000 0.0000
Ni1 0.0000 0.0000 0.1689
P1 0.0000 0.0000 0.4275
O1 0.0000 0.0000 0.3633
O2 0.0088 0.3112 0.5513

Top 10 peaks for 2θ = 10–90°, by angle:
(hkl)  two_theta  Rel. int.
1 0 1  21.48  32
0 0 6  22.44  60
0 1 5  28.35  100
1 0 7  33.94  52
1 1 0  37.07  70
2 -1 6  43.77  59
2 0 5  47.31  44
1 1 12  60.33  34
1 2 5  61.58  27
3 0 0  66.81  24